[1]
Diffraction record for CePm4Pt4. The XRD peak list is calculated, not measured: it uses a PBE-relaxed structure and Cu Kα X-rays.
No peak broadening, texture or thermal motion is included.

Top 12 peaks for 2θ = 5–70°, by intensity:
2theta	intensity	h k l
30.42	100	0 0 2
43.55	75	1 3 2
54.05	26	4 2 2
17.85	11	1 0 1
63.33	8	2 6 0
13.48	8	1 1 0
63.22	4	0 0 4
38.13	4	2 3 1
19.11	4	2 0 0
42.99	4	1 4 1
55.52	2	5 2 1
26.26	2	1 2 1

Atomic structure:
```
data_CePm4Pt4
_symmetry_space_group_name_H-M 'P 42/n'
_symmetry_Int_Tables_number 86
_cell_length_a 9.288
_cell_length_b 9.288
_cell_length_c 5.884
_cell_angle_alpha 90.00
_cell_angle_beta 90.00
_cell_angle_gamma 90.00
loop_
_symmetry_equiv_pos_as_xyz
'x,y,z'
'-x,-y,-z'
'-y,x+1/2,z+1/2'
'y,-x+1/2,-z+1/2'
'-x+1/2,-y+1/2,z'
'x+1/2,y+1/2,-z'
'y+1/2,-x,z+1/2'
'-y+1/2,x,-z+1/2'
loop_
_atom_site_label
_atom_site_type_symbol
_atom_site_fract_x
_atom_site_fract_y
_atom_site_fract_z
Ce1 Ce 0.250 0.250 0.250
Pm1 Pm 0.060 0.651 0.248
Pt1 Pt 0.041 0.649 0.748
```



[2]
Diffraction record for Mg7Rh3. The XRD peak list is calculated, not measured: it uses a PBE-relaxed structure and Cu Kα X-rays.
No peak broadening, texture or thermal motion is included.

Top 12 peaks for 2θ = 5–70°, by intensity:
2theta	intensity	h k l
39.05	100	3 0 1
19.91	89	1 0 1
28.50	84	2 0 1
40.47	46	2 0 2
45.62	45	2 1 2
41.01	36	2 2 0
55.10	34	3 2 1
32.59	27	0 0 2
31.03	25	2 1 0
23.33	25	2 0 0
35.32	24	3 0 0
57.91	21	4 1 1

Atomic structure:
```
data_Mg7Rh3
_symmetry_space_group_name_H-M 'P 63 m c'
_symmetry_Int_Tables_number 186
_symmetry_space_group_name_Hall 'P 6c -2c'
_cell_length_a 8.8039
_cell_length_b 8.8039
_cell_length_c 5.4958
_cell_angle_alpha 90.00
_cell_angle_beta 90.00
_cell_angle_gamma 120.00
loop_
_atom_site_label
_atom_site_type_symbol
_atom_site_fract_x
_atom_site_fract_y
_atom_site_fract_z
Mg1 Mg 0.0528 0.5264 0.0000
Mg2 Mg 0.1251 0.2503 0.7598
Mg3 Mg 0.3333 0.6667 0.5890
Rh1 Rh 0.2004 0.4007 0.2966
```



[3]
Diffraction record for Ac12La3Tl. The XRD peak list is calculated, not measured: it uses a PBE-relaxed structure and Cu Kα X-rays.
No peak broadening, texture or thermal motion is included.

Top 12 peaks for 2θ = 5–70°, by intensity:
2theta	intensity	h k l
28.01	100	1 1 4
32.58	34	2 0 0
55.38	31	3 1 4
46.45	26	2 0 8
32.19	17	0 0 8
54.86	15	1 1 12
57.89	13	2 2 8
46.75	13	2 2 0
68.26	4	4 0 0
67.34	2	0 0 16
16.13	1	1 0 0
22.75	1	1 0 4

Atomic structure:
```
data_Ac12La3Tl
_symmetry_space_group_name_H-M 'P 4/m m m'
_symmetry_Int_Tables_number 123
_symmetry_space_group_name_Hall '-P 4 2'
_cell_length_a 5.496
_cell_length_b 5.496
_cell_length_c 22.249
_cell_angle_alpha 90.00
_cell_angle_beta 90.00
_cell_angle_gamma 90.00
loop_
_atom_site_label
_atom_site_type_symbol
_atom_site_fract_x
_atom_site_fract_y
_atom_site_fract_z
Ac1 Ac 0.000 0.000 0.000
Ac2 Ac 0.000 0.000 0.247
Ac3 Ac 0.000 0.000 0.500
Ac4 Ac 0.000 0.500 0.121
Ac5 Ac 0.000 0.500 0.373
La1 La 0.500 0.500 0.247
La2 La 0.500 0.500 0.500
Tl1 Tl 0.500 0.500 0.000
```



[4]
Diffraction record for RbHg3H. The XRD peak list is calculated, not measured: it uses a PBE-relaxed structure and Cu Kα X-rays.
No peak broadening, texture or thermal motion is included.

Top 12 peaks for 2θ = 5–70°, by intensity:
2theta	intensity	h k l
30.83	100	1 1 -2
31.76	52	1 1 2
12.54	48	1 0 0
35.20	36	0 2 0
26.37	21	1 0 2
37.70	18	2 1 -2
59.12	17	0 2 4
45.88	16	0 0 4
25.26	16	1 0 -2
16.42	16	1 0 -1
60.47	15	1 3 -2
39.25	14	2 1 2

Atomic structure:
```
data_RbHg3H
_symmetry_space_group_name_H-M 'P 1 21/m 1'
_symmetry_Int_Tables_number 11
_cell_length_a 7.065
_cell_length_b 5.099
_cell_length_c 7.920
_cell_angle_alpha 90.00
_cell_angle_beta 92.82
_cell_angle_gamma 90.00
loop_
_symmetry_equiv_pos_as_xyz
'x,y,z'
'-x,-y,-z'
'-x,y+1/2,-z'
'x,-y+1/2,z'
loop_
_atom_site_label
_atom_site_type_symbol
_atom_site_fract_x
_atom_site_fract_y
_atom_site_fract_z
Rb1 Rb 0.118 0.250 0.227
Hg1 Hg 0.276 0.250 0.737
Hg2 Hg 0.355 0.750 0.520
Hg3 Hg 0.388 0.750 0.986
H1 H 0.145 0.750 0.066
```



What did the first record say?
Diffraction record for CePm4Pt4. The XRD peak list is calculated, not measured: it uses a PBE-relaxed structure and Cu Kα X-rays.
No peak broadening, texture or thermal motion is included.

Top 12 peaks for 2θ = 5–70°, by intensity:
2theta	intensity	h k l
30.42	100	0 0 2
43.55	75	1 3 2
54.05	26	4 2 2
17.85	11	1 0 1
63.33	8	2 6 0
13.48	8	1 1 0
63.22	4	0 0 4
38.13	4	2 3 1
19.11	4	2 0 0
42.99	4	1 4 1
55.52	2	5 2 1
26.26	2	1 2 1

Atomic structure:
```
data_CePm4Pt4
_symmetry_space_group_name_H-M 'P 42/n'
_symmetry_Int_Tables_number 86
_cell_length_a 9.288
_cell_length_b 9.288
_cell_length_c 5.884
_cell_angle_alpha 90.00
_cell_angle_beta 90.00
_cell_angle_gamma 90.00
loop_
_symmetry_equiv_pos_as_xyz
'x,y,z'
'-x,-y,-z'
'-y,x+1/2,z+1/2'
'y,-x+1/2,-z+1/2'
'-x+1/2,-y+1/2,z'
'x+1/2,y+1/2,-z'
'y+1/2,-x,z+1/2'
'-y+1/2,x,-z+1/2'
loop_
_atom_site_label
_atom_site_type_symbol
_atom_site_fract_x
_atom_site_fract_y
_atom_site_fract_z
Ce1 Ce 0.250 0.250 0.250
Pm1 Pm 0.060 0.651 0.248
Pt1 Pt 0.041 0.649 0.748
```



> What is the formula in the third record?

Ac12La3Tl